[1]
Diffraction record for PrNiSb3. The X-ray diffraction stick pattern is simulated, not measured: it uses DFT lattice parameters and positions (GGA-PBE) and Cu Kα.
Lines closer than 0.1° are merged.

Main lines, by angle (15° ≤ 2θ ≤ 90°):
2θ = 28.1°, rel. 44; 2θ = 28.8°, rel. 28; 2θ = 29.7°, rel. 34; 2θ = 31.8°, rel. 67; 2θ = 32.2°, rel. 68; 2θ = 34.8°, rel. 100; 2θ = 35.6°, rel. 31; 2θ = 35.9°, rel. 64; 2θ = 40.9°, rel. 79; 2θ = 50.4°, rel. 27

Atomic structure:
Cell: 12.704 6.281 18.574 Å, 90.00 90.00 90.00°
Element x y z (fractional)
Pr: 0.195 0.059 0.250
Pr: 0.195 0.441 0.750
Pr: 0.201 0.528 0.084
Pr: 0.201 0.528 0.416
Pr: 0.201 0.972 0.584
Pr: 0.201 0.972 0.916
Pr: 0.799 0.028 0.084
Pr: 0.799 0.028 0.416
Pr: 0.799 0.472 0.584
Pr: 0.799 0.472 0.916
Pr: 0.805 0.559 0.250
Pr: 0.805 0.941 0.750
Ni: 0.398 0.250 0.000
Ni: 0.398 0.250 0.500
Ni: 0.401 0.673 0.676
Ni: 0.401 0.673 0.824
Ni: 0.401 0.827 0.176
Ni: 0.401 0.827 0.324
Ni: 0.599 0.173 0.676
Ni: 0.599 0.173 0.824
Ni: 0.599 0.327 0.176
Ni: 0.599 0.327 0.324
Ni: 0.602 0.750 0.000
Ni: 0.602 0.750 0.500
Sb: 0.004 0.250 0.000
Sb: 0.004 0.250 0.500
Sb: 0.004 0.705 0.666
Sb: 0.004 0.705 0.834
Sb: 0.004 0.795 0.166
Sb: 0.004 0.795 0.334
Sb: 0.276 0.027 0.084
Sb: 0.276 0.027 0.416
Sb: 0.276 0.473 0.584
Sb: 0.276 0.473 0.916
Sb: 0.280 0.555 0.250
Sb: 0.280 0.945 0.750
Sb: 0.443 0.184 0.250
Sb: 0.443 0.316 0.750
Sb: 0.474 0.541 0.087
Sb: 0.474 0.541 0.413
Sb: 0.474 0.959 0.587
Sb: 0.474 0.959 0.913
Sb: 0.526 0.041 0.087
Sb: 0.526 0.041 0.413
Sb: 0.526 0.459 0.587
Sb: 0.526 0.459 0.913
Sb: 0.557 0.684 0.250
Sb: 0.557 0.816 0.750
Sb: 0.720 0.055 0.250
Sb: 0.720 0.445 0.750
Sb: 0.724 0.527 0.084
Sb: 0.724 0.527 0.416
Sb: 0.724 0.973 0.584
Sb: 0.724 0.973 0.916
Sb: 0.996 0.205 0.666
Sb: 0.996 0.205 0.834
Sb: 0.996 0.295 0.166
Sb: 0.996 0.295 0.334
Sb: 0.996 0.750 0.000
Sb: 0.996 0.750 0.500

[2]
Diffraction record for NaSr3RuO6. The X-ray diffraction stick pattern is simulated, not measured: it uses DFT lattice parameters and positions (GGA-PBE) and Cu Kα.
Lines closer than 0.1° are merged.

Main lines, by angle (15° ≤ 2θ ≤ 90°):
2θ = 18.5°, rel. 50; 2θ = 29.4°, rel. 83; 2θ = 31.9°, rel. 100; 2θ = 41.6°, rel. 18; 2θ = 42.0°, rel. 22; 2θ = 43.9°, rel. 56; 2θ = 50.6°, rel. 18; 2θ = 55.3°, rel. 21; 2θ = 56.8°, rel. 17; 2θ = 57.2°, rel. 17

Atomic structure:
Cell: 6.831 6.831 6.831 Å, 90.82 90.82 90.82°
Element x y z (fractional)
Na: 0.250 0.250 0.250
Na: 0.750 0.750 0.750
Sr: 0.108 0.750 0.392
Sr: 0.250 0.608 0.892
Sr: 0.392 0.108 0.750
Sr: 0.608 0.892 0.250
Sr: 0.750 0.392 0.108
Sr: 0.892 0.250 0.608
Ru: 0.000 0.000 0.000
Ru: 0.500 0.500 0.500
O: 0.055 0.925 0.722
O: 0.075 0.278 0.945
O: 0.222 0.425 0.555
O: 0.278 0.945 0.075
O: 0.425 0.555 0.222
O: 0.445 0.778 0.575
O: 0.555 0.222 0.425
O: 0.575 0.445 0.778
O: 0.722 0.055 0.925
O: 0.778 0.575 0.445
O: 0.925 0.722 0.055
O: 0.945 0.075 0.278